Entry 1:
Diffraction record for Ba3LaMgInW2O12. The XRD peak list is simulated, not measured: it uses a structure optimized by DFT (PBE+U) and Cu Kα.
Neutral-atom scattering factors, no anomalous dispersion.

Structure:
```
Ba3LaMgInW2O12
1.0
2.961 1.709 9.784
-2.961 1.709 9.784
0.000 -3.419 9.784
Ba La Mg In W O
3 1 1 1 2 12
Direct
0.000 0.000 0.000 Ba
0.149 0.149 0.149 Ba
0.569 0.569 0.569 Ba
0.431 0.431 0.431 La
0.778 0.778 0.778 Mg
0.280 0.280 0.280 In
0.690 0.690 0.690 W
0.867 0.867 0.867 W
0.065 0.065 0.568 O
0.065 0.568 0.065 O
0.143 0.660 0.660 O
0.422 0.890 0.890 O
0.493 0.493 0.972 O
0.493 0.972 0.493 O
0.568 0.065 0.065 O
0.660 0.143 0.660 O
0.660 0.660 0.143 O
0.890 0.422 0.890 O
0.890 0.890 0.422 O
0.972 0.493 0.493 O
```

Peak list (10 most intense, 10° ≤ 2θ ≤ 90°, in order of rising 2θ)
| 2theta | I/Imax |
| --- | --- |
| 27.48 | 91.2 |
| 30.18 | 100.0 |
| 41.26 | 54.5 |
| 46.81 | 12.7 |
| 51.97 | 31.2 |
| 53.61 | 20.3 |
| 62.77 | 19.4 |
| 65.59 | 9.4 |
| 69.82 | 15.1 |
| 87.08 | 10.9 |

Entry 2:
Diffraction record for Ba4La6Mn5In5O30. The XRD peak list is simulated, not measured: it uses a structure optimized by DFT (PBE+U) and Cu Kα.
Neutral-atom scattering factors, no anomalous dispersion.

Structure:
```
Ba4La6Mn5In5O30
1.0
5.015 -2.870 0.000
5.015 2.870 0.000
-3.567 0.000 23.582
Ba La Mn In O
4 6 5 5 30
Direct
0.000 0.000 0.000 Ba
0.096 0.096 0.291 Ba
0.402 0.402 0.196 Ba
0.796 0.796 0.387 Ba
0.205 0.205 0.585 La
0.289 0.289 0.899 La
0.488 0.488 0.477 La
0.606 0.606 0.807 La
0.696 0.696 0.105 La
0.894 0.894 0.687 La
0.054 0.054 0.146 Mn
0.154 0.154 0.438 Mn
0.446 0.446 0.339 Mn
0.651 0.651 0.950 Mn
0.746 0.746 0.245 Mn
0.250 0.250 0.743 In
0.349 0.349 0.046 In
0.550 0.550 0.642 In
0.842 0.842 0.537 In
0.945 0.945 0.847 In
0.030 0.030 0.499 O
0.047 0.490 0.482 O
0.049 0.049 0.773 O
0.061 0.544 0.813 O
0.102 0.604 0.291 O
0.154 0.660 0.603 O
0.210 0.210 0.105 O
0.231 0.729 0.096 O
0.286 0.286 0.386 O
0.299 0.780 0.397 O
0.337 0.824 0.892 O
0.413 0.892 0.194 O
0.440 0.954 0.675 O
0.457 0.457 0.721 O
0.472 0.472 0.977 O
0.490 0.047 0.482 O
0.495 0.951 0.004 O
0.544 0.061 0.813 O
0.596 0.596 0.295 O
0.604 0.102 0.291 O
0.641 0.641 0.563 O
0.660 0.154 0.603 O
0.729 0.231 0.096 O
0.780 0.299 0.397 O
0.808 0.808 0.913 O
0.824 0.337 0.892 O
0.892 0.413 0.194 O
0.895 0.895 0.183 O
0.951 0.495 0.004 O
0.954 0.440 0.675 O
```

Peak list (10 most intense, 10° ≤ 2θ ≤ 90°, in order of rising 2θ)
| 2theta | I/Imax |
| --- | --- |
| 30.95 | 100.0 |
| 31.12 | 46.9 |
| 38.22 | 9.1 |
| 44.07 | 12.8 |
| 44.59 | 27.6 |
| 54.94 | 19.5 |
| 55.21 | 17.3 |
| 55.31 | 19.2 |
| 64.50 | 13.5 |
| 73.63 | 10.0 |

Entry 3:
Diffraction record for BaLaMnInO6. The XRD peak list is simulated, not measured: it uses a structure optimized by DFT (PBE+U) and Cu Kα.
Neutral-atom scattering factors, no anomalous dispersion.

Structure:
```
BaLaMnInO6
1.0
0.000 4.226 4.226
4.226 0.000 4.226
4.226 4.226 0.000
Ba La Mn In O
1 1 1 1 6
Direct
0.000 0.000 0.000 Ba
0.250 0.250 0.250 La
0.750 0.750 0.750 Mn
0.500 0.500 0.500 In
0.524 0.524 0.976 O
0.524 0.976 0.524 O
0.524 0.976 0.976 O
0.976 0.524 0.524 O
0.976 0.524 0.976 O
0.976 0.976 0.524 O
```

Peak list (10 most intense, 10° ≤ 2θ ≤ 90°, in order of rising 2θ)
| 2theta | I/Imax |
| --- | --- |
| 18.18 | 5.4 |
| 29.90 | 100.0 |
| 35.22 | 5.7 |
| 36.84 | 5.1 |
| 42.80 | 30.9 |
| 53.09 | 38.8 |
| 62.13 | 18.6 |
| 70.47 | 17.8 |
| 78.39 | 6.0 |
| 86.10 | 20.8 |

Entry 4:
Diffraction record for BaLaMnInO6. The XRD peak list is simulated, not measured: it uses a structure optimized by DFT (PBE+U) and Cu Kα.
Neutral-atom scattering factors, no anomalous dispersion.

Structure:
```
BaLaMnInO6
1.0
8.180 0.000 0.000
0.000 11.390 0.000
0.000 0.000 5.855
Ba La Mn In O
4 4 4 4 24
Direct
0.000 0.118 0.248 Ba
0.000 0.882 0.752 Ba
0.500 0.118 0.252 Ba
0.500 0.882 0.748 Ba
0.000 0.360 0.739 La
0.000 0.640 0.261 La
0.500 0.360 0.761 La
0.500 0.640 0.239 La
0.250 0.122 0.750 Mn
0.250 0.878 0.250 Mn
0.750 0.122 0.750 Mn
0.750 0.878 0.250 Mn
0.250 0.375 0.250 In
0.250 0.625 0.750 In
0.750 0.375 0.250 In
0.750 0.625 0.750 In
0.000 0.130 0.781 O
0.000 0.371 0.141 O
0.000 0.629 0.859 O
0.000 0.870 0.219 O
0.177 0.500 0.500 O
0.221 0.247 0.530 O
0.221 0.753 0.470 O
0.242 0.000 0.500 O
0.258 0.000 0.000 O
0.279 0.247 0.970 O
0.279 0.753 0.030 O
0.323 0.500 0.000 O
0.500 0.130 0.719 O
0.500 0.371 0.359 O
0.500 0.629 0.641 O
0.500 0.870 0.281 O
0.677 0.500 0.000 O
0.721 0.247 0.970 O
0.721 0.753 0.030 O
0.742 0.000 0.000 O
0.758 0.000 0.500 O
0.779 0.247 0.530 O
0.779 0.753 0.470 O
0.823 0.500 0.500 O
```

Peak list (10 most intense, 10° ≤ 2θ ≤ 90°, in order of rising 2θ)
| 2theta | I/Imax |
| --- | --- |
| 30.54 | 24.0 |
| 30.95 | 100.0 |
| 31.42 | 22.5 |
| 44.35 | 42.0 |
| 54.54 | 21.6 |
| 54.76 | 10.5 |
| 55.31 | 10.4 |
| 55.64 | 16.7 |
| 64.50 | 15.4 |
| 73.19 | 8.4 |

Entry 5:
Diffraction record for BaLaMnInO6. The XRD peak list is simulated, not measured: it uses a structure optimized by DFT (PBE+U) and Cu Kα.
Neutral-atom scattering factors, no anomalous dispersion.

Structure:
```
BaLaMnInO6
1.0
0.000 4.056 4.056
4.056 0.000 4.056
4.056 4.056 0.000
Ba La Mn In O
1 1 1 1 6
Direct
0.000 0.000 0.000 Ba
0.500 0.500 0.500 La
0.750 0.750 0.750 Mn
0.250 0.250 0.250 In
0.513 0.513 0.987 O
0.513 0.987 0.513 O
0.513 0.987 0.987 O
0.987 0.513 0.513 O
0.987 0.513 0.987 O
0.987 0.987 0.513 O
```

Peak list (10 most intense, 10° ≤ 2θ ≤ 90°, in order of rising 2θ)
| 2theta | I/Imax |
| --- | --- |
| 18.95 | 3.5 |
| 31.19 | 100.0 |
| 36.75 | 3.1 |
| 38.44 | 8.3 |
| 44.69 | 31.0 |
| 55.50 | 38.7 |
| 65.05 | 18.6 |
| 73.90 | 16.9 |
| 78.16 | 2.5 |
| 82.37 | 6.2 |

Entry 6:
Diffraction record for BaMnInWO6. The XRD peak list is simulated, not measured: it uses a structure optimized by DFT (PBE+U) and Cu Kα.
Neutral-atom scattering factors, no anomalous dispersion.

Structure:
```
BaMnInWO6
1.0
0.000 4.106 4.106
4.106 0.000 4.106
4.106 4.106 0.000
Ba Mn In W O
1 1 1 1 6
Direct
0.000 0.000 0.000 Ba
0.250 0.250 0.250 Mn
0.500 0.500 0.500 In
0.750 0.750 0.750 W
0.512 0.512 0.988 O
0.512 0.988 0.512 O
0.512 0.988 0.988 O
0.988 0.512 0.512 O
0.988 0.512 0.988 O
0.988 0.988 0.512 O
```

Peak list (10 most intense, 10° ≤ 2θ ≤ 90°, in order of rising 2θ)
| 2theta | I/Imax |
| --- | --- |
| 18.71 | 18.8 |
| 30.79 | 100.0 |
| 36.28 | 9.6 |
| 44.11 | 30.1 |
| 54.76 | 39.5 |
| 58.39 | 4.0 |
| 64.15 | 18.3 |
| 72.84 | 17.3 |
| 81.13 | 6.1 |
| 89.25 | 21.2 |